Entry 1:
# ZnS
Theoretical X-ray diffraction stick pattern, Cu Kα, 1.54184 Å. Input: a crystal structure in the Materials Project, relaxed with PBE.
Lines closer than 0.1° are merged.

Structural model:
abc: 3.8577 3.8577 94.3464
angles: 90.00 90.00 120.00
Space group R3m (No. 160, hexagonal axes)
Symmetry-distinct sites (fractional):
Zn 0.0000 0.0000 0.0000 [3 per cell]
Zn 0.0000 0.0000 0.0667 [3 per cell]
Zn 0.0000 0.0000 0.1667 [3 per cell]
Zn 0.0000 0.0000 0.2667 [3 per cell]
Zn 0.0000 0.0000 0.3667 [3 per cell]
Zn 0.0000 0.0000 0.4667 [3 per cell]
Zn 0.0000 0.0000 0.5333 [3 per cell]
Zn 0.0000 0.0000 0.6333 [3 per cell]
Zn 0.0000 0.0000 0.7667 [3 per cell]
Zn 0.0000 0.0000 0.9000 [3 per cell]
S 0.0000 0.0000 0.0417 [3 per cell]
S 0.0000 0.0000 0.1417 [3 per cell]
S 0.0000 0.0000 0.2417 [3 per cell]
S 0.0000 0.0000 0.3417 [3 per cell]
S 0.0000 0.0000 0.4417 [3 per cell]
S 0.0000 0.0000 0.5084 [3 per cell]
S 0.0000 0.0000 0.6084 [3 per cell]
S 0.0000 0.0000 0.7417 [3 per cell]
S 0.0000 0.0000 0.8750 [3 per cell]
S 0.0000 0.0000 0.9750 [3 per cell]

Main lines, by intensity (15 to 90 degrees two-theta):
hkl 0 0 30, 2θ 28.37, intensity 100
hkl 1 1 0, 2θ 47.12, intensity 96
hkl 1 1 30, 2θ 55.92, intensity 64
hkl 0 1 11, 2θ 28.68, intensity 63
hkl 0 1 8, 2θ 27.75, intensity 46
hkl 0 1 41, 2θ 48.01, intensity 28
hkl 1 0 7, 2θ 27.51, intensity 22
hkl 1 0 13, 2θ 29.43, intensity 19

Entry 2:
# ZnS
Theoretical X-ray diffraction stick pattern, Cu Kα, 1.54184 Å. Input: a crystal structure in the Materials Project, relaxed with PBE.
Lines closer than 0.1° are merged.

Structural model:
abc: 3.8633 3.8633 94.4786
angles: 90.00 90.00 120.00
Space group R3m (No. 160, hexagonal axes)
Symmetry-distinct sites (fractional):
Zn 0.0000 0.0000 0.0000 [3 per cell]
Zn 0.0000 0.0000 0.0667 [3 per cell]
Zn 0.0000 0.0000 0.1666 [3 per cell]
Zn 0.0000 0.0000 0.2667 [3 per cell]
Zn 0.0000 0.0000 0.3667 [3 per cell]
Zn 0.0000 0.0000 0.4667 [3 per cell]
Zn 0.0000 0.0000 0.5666 [3 per cell]
Zn 0.0000 0.0000 0.6334 [3 per cell]
Zn 0.0000 0.0000 0.7666 [3 per cell]
Zn 0.0000 0.0000 0.8666 [3 per cell]
S 0.0000 0.0000 0.0417 [3 per cell]
S 0.0000 0.0000 0.1417 [3 per cell]
S 0.0000 0.0000 0.2416 [3 per cell]
S 0.0000 0.0000 0.3417 [3 per cell]
S 0.0000 0.0000 0.4417 [3 per cell]
S 0.0000 0.0000 0.5417 [3 per cell]
S 0.0000 0.0000 0.6084 [3 per cell]
S 0.0000 0.0000 0.7416 [3 per cell]
S 0.0000 0.0000 0.8416 [3 per cell]
S 0.0000 0.0000 0.9750 [3 per cell]

Main lines, by intensity (15 to 90 degrees two-theta):
hkl 0 0 30, 2θ 28.31, intensity 100
hkl 1 1 0, 2θ 47.06, intensity 74
hkl 1 1 30, 2θ 55.84, intensity 49
hkl 3 0 0, 2θ 87.48, intensity 15
hkl 0 1 8, 2θ 27.71, intensity 11
hkl 0 1 11, 2θ 28.63, intensity 10
hkl 1 0 7, 2θ 27.47, intensity 10
hkl 0 1 20, 2θ 32.80, intensity 9

Entry 3:
# ZnS
Theoretical X-ray diffraction stick pattern, Cu Kα, 1.54184 Å. Input: a crystal structure in the Materials Project, relaxed with PBE.
Lines closer than 0.1° are merged.

Structural model:
abc: 3.8488 3.8488 81.8460
angles: 90.00 90.00 120.00
Space group P3m1 (No. 156)
Symmetry-distinct sites (fractional):
Zn 0.0000 0.0000 0.0000 [1 per cell]
Zn 0.0000 0.0000 0.0775 [1 per cell]
Zn 0.0000 0.0000 0.1539 [1 per cell]
Zn 0.0000 0.0000 0.2692 [1 per cell]
Zn 0.0000 0.0000 0.3846 [1 per cell]
Zn 0.0000 0.0000 0.5000 [1 per cell]
Zn 0.0000 0.0000 0.6539 [1 per cell]
Zn 0.0000 0.0000 0.7692 [1 per cell]
Zn 0.0000 0.0000 0.8846 [1 per cell]
Zn 0.3333 0.6667 0.0386 [1 per cell]
Zn 0.3333 0.6667 0.1155 [1 per cell]
Zn 0.3333 0.6667 0.2308 [1 per cell]
Zn 0.3333 0.6667 0.3077 [1 per cell]
Zn 0.3333 0.6667 0.4231 [1 per cell]
Zn 0.3333 0.6667 0.5384 [1 per cell]
Zn 0.3333 0.6667 0.6154 [1 per cell]
Zn 0.3333 0.6667 0.7308 [1 per cell]
Zn 0.3333 0.6667 0.8077 [1 per cell]
Zn 0.3333 0.6667 0.9615 [1 per cell]
Zn 0.6667 0.3333 0.1923 [1 per cell]
Zn 0.6667 0.3333 0.3462 [1 per cell]
Zn 0.6667 0.3333 0.4615 [1 per cell]
Zn 0.6667 0.3333 0.5769 [1 per cell]
Zn 0.6667 0.3333 0.6923 [1 per cell]
Zn 0.6667 0.3333 0.8461 [1 per cell]
Zn 0.6667 0.3333 0.9231 [1 per cell]
S 0.0000 0.0000 0.0289 [1 per cell]
S 0.0000 0.0000 0.1827 [1 per cell]
S 0.0000 0.0000 0.2981 [1 per cell]
S 0.0000 0.0000 0.4135 [1 per cell]
S 0.0000 0.0000 0.5289 [1 per cell]
S 0.0000 0.0000 0.6827 [1 per cell]
S 0.0000 0.0000 0.7981 [1 per cell]
S 0.0000 0.0000 0.9135 [1 per cell]
S 0.3333 0.6667 0.0677 [1 per cell]
S 0.3333 0.6667 0.1443 [1 per cell]
S 0.3333 0.6667 0.2596 [1 per cell]
S 0.3333 0.6667 0.3366 [1 per cell]
S 0.3333 0.6667 0.4520 [1 per cell]
S 0.3333 0.6667 0.5673 [1 per cell]
S 0.3333 0.6667 0.6443 [1 per cell]
S 0.3333 0.6667 0.7596 [1 per cell]
S 0.3333 0.6667 0.8366 [1 per cell]
S 0.3333 0.6667 0.9904 [1 per cell]
S 0.6667 0.3333 0.1046 [1 per cell]
S 0.6667 0.3333 0.2212 [1 per cell]
S 0.6667 0.3333 0.3750 [1 per cell]
S 0.6667 0.3333 0.4904 [1 per cell]
S 0.6667 0.3333 0.6058 [1 per cell]
S 0.6667 0.3333 0.7212 [1 per cell]
S 0.6667 0.3333 0.8750 [1 per cell]
S 0.6667 0.3333 0.9520 [1 per cell]

Main lines, by intensity (15 to 90 degrees two-theta):
hkl 1 1 0, 2θ 47.23, intensity 100
hkl 0 0 26, 2θ 28.35, intensity 82
hkl 0 1 8, 2θ 28.16, intensity 79
hkl 1 1 26, 2θ 56.01, intensity 68
hkl 0 1 10, 2θ 28.92, intensity 53
hkl 0 1 34, 2θ 46.54, intensity 31
hkl 0 1 36, 2θ 48.47, intensity 25
hkl 1 0 12, 2θ 29.84, intensity 25

What is the formula in the second record? ZnS

Which formula does entry 2 have? ZnS